ErSnS: calculated PXRD pattern (Cu Kα (weighted mean of Kα1 and Kα2)), based on a structure optimized by DFT (PBE).

Principal peaks in the range 5 to 70 degrees two-theta, in order of falling intensity:
d [Å]  2θ/deg  I (rel.)  index
2.500  35.9  100  1 1 2
2.984  29.9  85  1 1 1
4.102  21.7  62  0 1 1
3.812  23.3  60  1 0 1
2.396  37.5  41  0 2 0
2.645  33.9  35  0 0 3
2.930  30.5  33  1 0 2
2.173  41.5  31  2 0 0
1.689  54.3  29  1 1 4
3.056  29.2  26  0 1 2
1.402  66.7  25  1 3 2
1.610  57.2  24  2 2 0

Atomic structure:
```
ErSnS
1.0
4.347 0.000 0.000
0.000 4.793 0.000
0.000 0.000 7.935
Er Sn S
2 2 2
Direct
0.250 0.250 0.167
0.750 0.750 0.833
0.250 0.750 0.501
0.750 0.250 0.499
0.250 0.750 0.027
0.750 0.250 0.973
```